Starting from the PBE geometry in OQMD, the XRD peak list of ZnGeAsN was simulated for Cu Kα (λ = 1.5418 Å).
Intensities are scaled so that the largest is 100.

Cell and atoms:
```
data_ZnGeAsN
_chemical_formula_sum 'Zn4 Ge4 As4 N4'
_cell_length_a 7.3152
_cell_length_b 7.3499
_cell_length_c 6.0289
_cell_angle_alpha 90.00
_cell_angle_beta 125.22
_cell_angle_gamma 90.00
_symmetry_space_group_name_H-M 'C 1 c 1'
_symmetry_Int_Tables_number 9
_symmetry_space_group_name_Hall 'C -2yc'
loop_
_atom_site_label
_atom_site_fract_x
_atom_site_fract_y
_atom_site_fract_z
Zn1 0.0000 0.1664 0.0000
Ge1 0.4269 0.0953 0.9976
As1 0.3308 0.3769 0.7483
N1 0.3420 0.1084 0.2491
```

Top 10 peaks for 2θ from 10° to 90°, in order of falling intensity:
- 2θ = 30.35°, intensity 100
- 2θ = 31.00°, intensity 50
- 2θ = 29.90°, intensity 49
- 2θ = 50.46°, intensity 39
- 2θ = 51.88°, intensity 36
- 2θ = 39.74°, intensity 35
- 2θ = 49.91°, intensity 20
- 2θ = 39.98°, intensity 20
- 2θ = 31.88°, intensity 20
- 2θ = 32.66°, intensity 19

***

Starting from the PBE geometry in OQMD, the XRD peak list of Nd2GeAsPd2 was simulated for Cu Kα (λ = 1.5418 Å).
Intensities are scaled so that the largest is 100.

Cell and atoms:
```
data_Nd2GeAsPd2
_chemical_formula_sum 'Nd2 Ge1 As1 Pd2'
_cell_length_a 4.3614
_cell_length_b 4.3614
_cell_length_c 8.0438
_cell_angle_alpha 90.00
_cell_angle_beta 90.00
_cell_angle_gamma 120.00
_symmetry_space_group_name_H-M 'P -6 m 2'
_symmetry_Int_Tables_number 187
_symmetry_space_group_name_Hall 'P -6 2'
loop_
_atom_site_label
_atom_site_fract_x
_atom_site_fract_y
_atom_site_fract_z
Nd1 0.0000 0.0000 0.2486
Ge1 0.3333 0.6667 0.5000
As1 0.6667 0.3333 0.0000
Pd1 0.3333 0.6667 0.0000
Pd2 0.6667 0.3333 0.5000
```

Top 10 peaks for 2θ from 10° to 90°, in order of falling intensity:
- 2θ = 32.52°, intensity 100
- 2θ = 41.41°, intensity 50
- 2θ = 62.86°, intensity 29
- 2θ = 53.61°, intensity 24
- 2θ = 69.92°, intensity 21
- 2θ = 45.08°, intensity 13
- 2θ = 75.21°, intensity 9
- 2θ = 75.51°, intensity 8
- 2θ = 89.69°, intensity 6
- 2θ = 89.99°, intensity 5

***

Starting from the PBE geometry in OQMD, the XRD peak list of ZnGeAsO was simulated for Cu Kα (λ = 1.5418 Å).
Intensities are scaled so that the largest is 100.

Cell and atoms:
```
data_ZnGeAsO
_chemical_formula_sum 'Zn2 Ge2 As2 O2'
_cell_length_a 4.0354
_cell_length_b 5.8814
_cell_length_c 5.7972
_cell_angle_alpha 90.00
_cell_angle_beta 90.00
_cell_angle_gamma 90.00
_symmetry_space_group_name_H-M 'P m c 21'
_symmetry_Int_Tables_number 26
_symmetry_space_group_name_Hall 'P 2c -2'
loop_
_atom_site_label
_atom_site_fract_x
_atom_site_fract_y
_atom_site_fract_z
Zn1 0.0000 0.1532 0.0000
Ge1 0.5000 0.2704 0.4162
As1 0.5000 0.3127 0.8421
O1 0.0000 0.1703 0.3541
```

Top 10 peaks for 2θ from 10° to 90°, in order of falling intensity:
- 2θ = 30.85°, intensity 100
- 2θ = 30.40°, intensity 94
- 2θ = 30.99°, intensity 93
- 2θ = 26.79°, intensity 79
- 2θ = 38.23°, intensity 71
- 2θ = 44.93°, intensity 70
- 2θ = 54.95°, intensity 60
- 2θ = 51.85°, intensity 53
- 2θ = 49.61°, intensity 49
- 2θ = 43.86°, intensity 42